1.
The following is a computed powder XRD pattern of SbTe. It was derived from the PBE geometry in the Materials Project, using CuKα.
Lines closer than 0.1° are merged.

The 8 most intense peaks (5 to 70 degrees two-theta), low angle first:
two_theta  I (rel.)
28.7  1000
38.0  470
42.9  111
44.0  311
53.4  174
59.5  125
63.1  208
64.5  98

Cell and atoms:
Cell: 4.1191 4.1191 12.6459 Å, 90.00 90.00 120.00°
Space group R-3m (No. 166, hexagonal axes)
One atom of each set of equivalent atoms:
Sb 0.0000 0.0000 0.0000
Te 0.0000 0.0000 0.5000


2.
The following is a computed powder XRD pattern of ThSbTe. It was derived from the PBE geometry in the Materials Project, using CuKα.
Lines closer than 0.1° are merged.

The 8 most intense peaks (5 to 70 degrees two-theta), low angle first:
two_theta  I (rel.)
22.2  423
28.4  350
29.1  247
30.1  615
34.6  1000
35.6  667
40.6  583
55.1  388

Cell and atoms:
Cell: 4.4409 4.4409 9.1983 Å, 90.00 90.00 90.00°
Space group P4/nmm (No. 129, origin choice 2)
One atom of each set of equivalent atoms:
Th 0.2500 0.2500 0.2357
Sb 0.2500 0.7500 0.5000
Te 0.2500 0.2500 0.8705


3.
The following is a computed powder XRD pattern of Th2SbTe. It was derived from the PBE geometry in the Materials Project, using CuKα.
Lines closer than 0.1° are merged.

The 7 most intense peaks (5 to 70 degrees two-theta), low angle first:
two_theta  I (rel.)
23.1  98
32.9  1000
40.6  33
47.2  185
53.2  48
58.7  388
68.9  120

Cell and atoms:
Cell: 7.7057 7.7057 7.7057 Å, 90.00 90.00 90.00°
Space group Fm-3m (No. 225)
One atom of each set of equivalent atoms:
Th 0.2500 0.2500 0.2500
Sb 0.0000 0.0000 0.0000
Te 0.0000 0.0000 0.5000